CsZn3P3O12: calculated X-ray powder pattern (Cu Kα X-rays), based on a crystal structure in the Materials Project, relaxed with GGA-PBE.
Kinematic intensities with the Lorentz-polarization factor, no thermal factor.

Crystal structure
abc: 5.2693 8.2027 15.1551
angles: 84.68 89.98 71.81
Space group P-1 (No. 2)
One atom of each set of equivalent atoms:
Cs (0.2099, 0.0936, 0.2546) (multiplicity 2)
Zn (0.1254, 0.1783, 0.9515) (multiplicity 2)
Zn (0.1338, 0.1668, 0.5735) (multiplicity 2)
Zn (0.4879, 0.5803, 0.1382) (multiplicity 2)
P (0.0592, 0.3425, 0.7535) (multiplicity 2)
P (0.3677, 0.7798, 0.9389) (multiplicity 2)
P (0.3903, 0.7594, 0.5422) (multiplicity 2)
O (0.0168, 0.5257, 0.7102) (multiplicity 2)
O (0.1550, 0.9557, 0.9106) (multiplicity 2)
O (0.2099, 0.2020, 0.6948) (multiplicity 2)
O (0.2184, 0.6750, 0.2247) (multiplicity 2)
O (0.2198, 0.9112, 0.5915) (multiplicity 2)
O (0.2270, 0.3109, 0.8441) (multiplicity 2)
O (0.2499, 0.7489, 0.4542) (multiplicity 2)
O (0.2682, 0.7042, 0.0284) (multiplicity 2)
O (0.3293, 0.2247, 0.4744) (multiplicity 2)
O (0.3522, 0.2050, 0.0455) (multiplicity 2)
O (0.3713, 0.6642, 0.8638) (multiplicity 2)
O (0.4289, 0.5890, 0.6025) (multiplicity 2)

Main lines, low angle first (2θ = 10–90°):
| 2θ/deg | d [Å] | I_rel |
| --- | --- | --- |
| 11.41 | 7.755 | 30 |
| 20.09 | 4.420 | 27 |
| 24.00 | 3.708 | 41 |
| 24.26 | 3.669 | 79 |
| 24.76 | 3.595 | 100 |
| 25.49 | 3.494 | 87 |
| 25.60 | 3.480 | 88 |
| 34.03 | 2.635 | 62 |
| 35.74 | 2.512 | 21 |
| 39.60 | 2.276 | 22 |

CsZr2P3O12: calculated X-ray powder pattern (Cu Kα X-rays), based on a crystal structure in the Materials Project, relaxed with GGA-PBE.
Kinematic intensities with the Lorentz-polarization factor, no thermal factor.

Crystal structure
abc: 8.7654 8.7654 25.1588
angles: 90.00 90.00 120.00
Space group R-3c (No. 167, hexagonal axes)
One atom of each set of equivalent atoms:
Cs (0.0000, 0.0000, 0.0000) (multiplicity 6)
Zr (0.0000, 0.0000, 0.1522) (multiplicity 12)
P (0.0000, 0.2833, 0.2500) (multiplicity 18)
O (0.0264, 0.2042, 0.8983) (multiplicity 36)
O (0.0597, 0.2154, 0.2021) (multiplicity 36)

Main lines, low angle first (2θ = 10–90°):
| 2θ/deg | d [Å] | I_rel |
| --- | --- | --- |
| 20.26 | 4.383 | 85 |
| 22.90 | 3.884 | 31 |
| 29.48 | 3.030 | 100 |
| 35.48 | 2.530 | 27 |
| 41.69 | 2.166 | 21 |
| 46.77 | 1.942 | 30 |
| 55.47 | 1.656 | 19 |
| 56.66 | 1.624 | 12 |
| 57.05 | 1.614 | 14 |
| 60.05 | 1.541 | 18 |